Theoretical XRD peak list
Compound: Mg5Si9
Radiation: Cu Kα, 1.54184 Å
Structure: a cell relaxed with GGA-PBE
Intensities are scaled so that the largest is 1000.

The 12 most intense peaks (10 to 90 degrees two-theta), in order of falling intensity:
(0 2 -3), 2θ 35.74, rel. 1000; (2 0 -1), 2θ 31.62, rel. 968; (1 -2 0), 2θ 38.31, rel. 715; (2 -1 3), 2θ 41.42, rel. 652; (1 0 -4), 2θ 33.52, rel. 589; (1 1 -4), 2θ 33.78, rel. 567; (1 3 1), 2θ 39.72, rel. 553; (2 2 3), 2θ 34.21, rel. 526; (0 1 2), 2θ 19.86, rel. 466; (3 0 2), 2θ 44.77, rel. 455; (3 2 -1), 2θ 43.19, rel. 449; (0 1 -4), 2θ 31.06, rel. 431

Atomic structure:
a b c (Å): 6.875 6.910 13.280
angles (deg): 84.97 78.66 63.01
Space group P1 (No. 1)
Unique sites:
Mg: 0.000 0.000 0.000 x1
Mg: 0.002 0.420 0.956 x1
Mg: 0.109 0.739 0.803 x1
Mg: 0.271 0.873 0.339 x1
Mg: 0.339 0.214 0.472 x1
Mg: 0.506 0.744 0.849 x1
Mg: 0.514 0.228 0.869 x1
Mg: 0.753 0.411 0.259 x1
Mg: 0.799 0.305 0.504 x1
Mg: 0.929 0.476 0.683 x1
Si: 0.035 0.594 0.160 x1
Si: 0.089 0.052 0.635 x1
Si: 0.092 0.663 0.506 x1
Si: 0.186 0.132 0.790 x1
Si: 0.219 0.287 0.269 x1
Si: 0.225 0.043 0.145 x1
Si: 0.287 0.564 0.002 x1
Si: 0.377 0.731 0.556 x1
Si: 0.476 0.171 0.662 x1
Si: 0.519 0.490 0.693 x1
Si: 0.596 0.145 0.176 x1
Si: 0.629 0.415 0.062 x1
Si: 0.632 0.767 0.116 x1
Si: 0.646 0.714 0.410 x1
Si: 0.742 0.844 0.943 x1
Si: 0.829 0.940 0.411 x1
Si: 0.845 0.889 0.659 x1
Si: 0.946 0.931 0.229 x1

---

Theoretical XRD peak list
Compound: TiCuSeO5
Radiation: Cu Kα, 1.54184 Å
Structure: a cell relaxed with GGA-PBE
Intensities are scaled so that the largest is 1000.

The 12 most intense peaks (10 to 90 degrees two-theta), in order of falling intensity:
(2 0 -2), 2θ 27.05, rel. 1000; (1 1 1), 2θ 25.62, rel. 644; (1 3 -1), 2θ 36.71, rel. 503; (2 0 0), 2θ 26.70, rel. 382; (2 0 2), 2θ 46.94, rel. 309; (0 2 2), 2θ 35.19, rel. 275; (4 0 0), 2θ 55.01, rel. 260; (3 3 -3), 2θ 54.36, rel. 193; (4 2 -2), 2θ 53.24, rel. 189; (1 3 3), 2θ 61.03, rel. 171; (2 2 -2), 2θ 35.46, rel. 161; (0 2 1), 2θ 26.19, rel. 150

Atomic structure:
a b c (Å): 7.639 7.906 7.650
angles (deg): 90.00 119.15 90.00
Space group C2/c (No. 15)
Unique sites:
Ti: 0.250 0.250 0.000 x4
Cu: 0.000 0.021 0.250 x4
Se: 0.000 0.408 0.250 x4
O: 0.000 0.235 0.750 x4
O: 0.092 0.253 0.156 x8
O: 0.247 0.003 0.003 x8

---

Theoretical XRD peak list
Compound: NaTlOsCl6
Radiation: Cu Kα, 1.54184 Å
Structure: a cell relaxed with GGA-PBE
Intensities are scaled so that the largest is 1000.

The 12 most intense peaks (10 to 90 degrees two-theta), in order of falling intensity:
(1 0 1), 2θ 19.99, rel. 1000; (2 -1 2), 2θ 37.58, rel. 414; (1 0 0), 2θ 14.84, rel. 296; (3 -1 1), 2θ 42.30, rel. 286; (2 0 1), 2θ 32.89, rel. 245; (1 1 0), 2θ 25.86, rel. 218; (3 0 0), 2θ 45.60, rel. 146; (3 1 1), 2θ 57.36, rel. 128; (2 1 3), 2θ 58.35, rel. 127; (1 0 3), 2θ 43.53, rel. 106; (2 0 3), 2θ 51.33, rel. 100; (2 2 2), 2θ 60.52, rel. 94

Atomic structure:
a b c (Å): 6.8918 6.8918 6.6533
angles (deg): 90.00 90.00 120.00
Space group P312 (No. 149)
Unique sites:
Na: 0.0000 0.0000 0.0000 x1
Tl: 0.6667 0.3333 0.5000 x1
Os: 0.3333 0.6667 0.0000 x1
Cl: 0.0605 0.3833 0.2052 x6

---

Theoretical XRD peak list
Compound: Th2U2Te7
Radiation: Cu Kα, 1.54184 Å
Structure: a cell relaxed with GGA-PBE
Intensities are scaled so that the largest is 1000.

The 12 most intense peaks (10 to 90 degrees two-theta), in order of falling intensity:
(1 4 1), 2θ 31.62, rel. 1000; (1 2 3), 2θ 36.09, rel. 577; (0 2 2), 2θ 21.18, rel. 318; (0 6 2), 2θ 38.20, rel. 306; (2 0 0), 2θ 41.52, rel. 290; (1 3 2), 2θ 32.15, rel. 290; (2 6 2), 2θ 57.71, rel. 260; (1 1 2), 2θ 27.95, rel. 244; (1 4 5), 2θ 56.21, rel. 230; (1 0 1), 2θ 22.35, rel. 186; (1 10 3), 2θ 68.38, rel. 170; (0 3 3), 2θ 32.01, rel. 151

Atomic structure:
a b c (Å): 4.350 16.107 9.826
angles (deg): 90.00 90.00 90.00
Space group Imm2 (No. 44)
Unique sites:
Th: 0.000 0.240 0.000 x4
U: 0.000 0.000 0.774 x2
U: 0.000 0.500 0.825 x2
Te: 0.000 0.000 0.087 x2
Te: 0.000 0.109 0.495 x4
Te: 0.000 0.322 0.705 x4
Te: 0.000 0.359 0.310 x4

---

Theoretical XRD peak list
Compound: V2GaH4
Radiation: Cu Kα, 1.54184 Å
Structure: a cell relaxed with GGA-PBE
Intensities are scaled so that the largest is 1000.

The 12 most intense peaks (10 to 90 degrees two-theta), in order of falling intensity:
(2 1 1), 2θ 43.00, rel. 1000; (1 0 3), 2θ 33.36, rel. 957; (1 1 2), 2θ 32.10, rel. 574; (2 0 2), 2θ 41.87, rel. 454; (2 2 4), 2θ 67.14, rel. 331; (1 0 5), 2θ 50.70, rel. 302; (3 2 1), 2θ 71.24, rel. 189; (2 0 0), 2θ 37.33, rel. 187; (3 1 2), 2θ 64.06, rel. 164; (2 0 4), 2θ 53.61, rel. 136; (2 1 7), 2θ 82.78, rel. 127; (3 0 3), 2θ 64.82, rel. 123

Atomic structure:
a b c (Å): 4.818 4.818 9.706
angles (deg): 90.00 90.00 90.00
Space group I4_122 (No. 98)
Unique sites:
V: 0.017 0.750 0.125 x8
Ga: 0.000 0.000 0.500 x4
H: 0.011 0.233 0.318 x16